LaAlO3: computed PXRD pattern (Cu Kα), based on DFT lattice parameters and positions (PBE).
Peak positions follow from Bragg's law for the DFT cell and can differ from measured ones.

Principal peaks in the range 2θ from 10° to 90°, most intense first:
- 28.00°, I 100, (0 2 1)
- 28.66°, I 42, (0 2 -2)
- 17.79°, I 41, (1 0 1)
- 26.87°, I 26, (1 -1 2)
- 25.52°, I 26, (1 0 -2)
- 27.30°, I 22, (1 2 -1)
- 25.83°, I 22, (1 -2 0)
- 33.17°, I 20, (2 1 1)

Crystal structure
a = 6.819 Å, b = 7.901 Å, c = 8.055 Å
α = 102.70°, β = 92.72°, γ = 93.24°
Space group P-1 (No. 2)
Unique sites:
La  0.084  0.247  0.028
La  0.277  0.400  0.609
La  0.379  0.923  0.690
Al  0.143  0.977  0.295
Al  0.189  0.605  0.299
Al  0.411  0.724  0.033
O  0.034  0.778  0.326
O  0.053  0.949  0.809
O  0.055  0.411  0.317
O  0.225  0.571  0.075
O  0.303  0.083  0.463
O  0.304  0.927  0.120
O  0.361  0.245  0.847
O  0.384  0.646  0.455
O  0.434  0.684  0.813

=====

La3AlO: computed PXRD pattern (Cu Kα), based on DFT lattice parameters and positions (PBE).
Peak positions follow from Bragg's law for the DFT cell and can differ from measured ones.

Principal peaks in the range 2θ from 10° to 90°, most intense first:
- 30.74°, I 100, (1 1 1)
- 35.64°, I 59, (2 0 0)
- 61.00°, I 43, (3 1 1)
- 51.29°, I 41, (2 2 0)
- 17.60°, I 27, (1 0 0)
- 86.37°, I 18, (4 2 0)
- 83.68°, I 18, (3 3 1)
- 64.02°, I 14, (2 2 2)

Crystal structure
a = 5.038 Å, b = 5.038 Å, c = 5.038 Å
α = 90.00°, β = 90.00°, γ = 90.00°
Space group Pm-3m (No. 221)
Unique sites:
La  0.000  0.000  0.500
Al  0.500  0.500  0.500
O  0.000  0.000  0.000

=====

LaAlO3: computed PXRD pattern (Cu Kα), based on DFT lattice parameters and positions (PBE).
Peak positions follow from Bragg's law for the DFT cell and can differ from measured ones.

Principal peaks in the range 2θ from 10° to 90°, most intense first:
- 28.89°, I 100, (0 0 3)
- 28.17°, I 85, (0 2 0)
- 25.03°, I 65, (-1 1 2)
- 25.17°, I 63, (1 -1 1)
- 17.29°, I 49, (1 1 0)
- 41.68°, I 41, (-2 2 1)
- 27.74°, I 40, (2 1 1)
- 29.01°, I 35, (1 2 2)

Crystal structure
a = 6.852 Å, b = 6.859 Å, c = 9.855 Å
α = 70.19°, β = 86.92°, γ = 78.42°
Space group P-1 (No. 2)
Unique sites:
La  0.073  0.380  0.348
La  0.260  0.248  0.995
La  0.424  0.767  0.349
Al  0.113  0.113  0.707
Al  0.228  0.743  0.992
Al  0.457  0.753  0.709
O  0.045  0.943  0.873
O  0.083  0.708  0.409
O  0.093  0.556  0.105
O  0.242  0.300  0.735
O  0.269  0.967  0.609
O  0.337  0.144  0.256
O  0.363  0.612  0.876
O  0.382  0.844  0.079
O  0.425  0.394  0.400